Entry 1:
This entry pairs a crystal structure of LiMnPO4 with its simulated powder XRD pattern. Radiation: a wavelength of 1.5418 Å. Structure: a structure optimized by DFT (GGA+U).
Peak positions follow from Bragg's law for the DFT cell and can differ from measured ones.

Structural model:
Cell: 8.441 18.696 5.101 Å, 90.00 90.00 90.00°
Space group Pna2_1 (No. 33)
Symmetry-distinct sites (fractional):
1 Li 0.072 0.050 0.000 (multiplicity 4)
2 Li 0.148 0.262 0.855 (multiplicity 4)
3 Mn 0.012 0.432 0.364 (multiplicity 4)
4 Mn 0.146 0.840 0.862 (multiplicity 4)
5 P 0.202 0.181 0.330 (multiplicity 4)
6 P 0.240 0.430 0.838 (multiplicity 4)
7 O 0.066 0.142 0.178 (multiplicity 4)
8 O 0.088 0.471 0.734 (multiplicity 4)
9 O 0.108 0.969 0.253 (multiplicity 4)
10 O 0.140 0.643 0.775 (multiplicity 4)
11 O 0.155 0.185 0.620 (multiplicity 4)
12 O 0.215 0.259 0.211 (multiplicity 4)
13 O 0.227 0.426 0.144 (multiplicity 4)
14 O 0.230 0.354 0.716 (multiplicity 4)

Top 8 peaks for 10 to 90 degrees two-theta, sorted by position:
2theta  Rel. int.  h k l
14.14  55  1 2 0
17.69  54  1 3 0
18.03  100  0 1 1
21.74  34  1 4 0
27.97  61  1 4 1
31.02  45  2 3 1
35.21  42  0 0 2
37.76  31  3 2 1

Entry 2:
This entry pairs a crystal structure of Li2Mn2P2O9 with its simulated powder XRD pattern. Radiation: a wavelength of 1.5418 Å. Structure: a structure optimized by DFT (GGA+U).
Peak positions follow from Bragg's law for the DFT cell and can differ from measured ones.

Structural model:
Cell: 8.432 5.636 15.345 Å, 90.00 90.00 90.00°
Space group Pnma (No. 62)
Symmetry-distinct sites (fractional):
1 Li 0.038 0.250 0.240 (multiplicity 4)
2 Li 0.189 0.250 0.865 (multiplicity 4)
3 Mn 0.000 0.000 0.500 (multiplicity 4)
4 Mn 0.205 0.250 0.068 (multiplicity 4)
5 P 0.173 0.750 0.918 (multiplicity 4)
6 P 0.202 0.250 0.664 (multiplicity 4)
7 O 0.009 0.750 0.964 (multiplicity 4)
8 O 0.067 0.250 0.589 (multiplicity 4)
9 O 0.068 0.750 0.573 (multiplicity 4)
10 O 0.117 0.250 0.750 (multiplicity 4)
11 O 0.165 0.750 0.820 (multiplicity 4)
12 O 0.194 0.524 0.151 (multiplicity 8)
13 O 0.240 0.017 0.451 (multiplicity 8)

Top 8 peaks for 10 to 90 degrees two-theta, sorted by position:
2theta  Rel. int.  h k l
11.53  100  0 0 2
11.98  17  1 0 1
15.62  20  1 0 2
22.23  15  1 1 2
23.49  31  0 1 3
25.78  17  1 1 3
31.53  16  2 0 4
32.38  19  3 0 1